(1)
Diffraction record for PbSe2. The X-ray powder pattern is simulated, not measured: it uses a DFT-relaxed cell (PBE, Alexandria) and Cu Kα (λ = 1.5418 Å).

Most intense lines, 2θ = 10–80°, by intensity:
Position (°2θ)	d (Å)	intensity
29.86	2.993	1000
35.82	2.507	379
44.13	2.052	378
19.34	4.589	299
27.49	3.245	291
32.88	2.724	275
65.63	1.423	235
61.83	1.501	217
45.74	1.984	171
39.27	2.294	133

Cell and atoms:
abc: 6.053 6.053 6.053
angles: 115.17 115.17 98.59
Sites, in units of the cell vectors:
Pb 0.250 0.250 0.000
Pb 0.750 0.750 0.000
Se 0.131 0.631 0.763
Se 0.369 0.131 0.500
Se 0.631 0.869 0.500
Se 0.869 0.369 0.237

(2)
Diffraction record for La2TcTe. The X-ray powder pattern is simulated, not measured: it uses a DFT-relaxed cell (PBE, Alexandria) and Cu Kα (λ = 1.5418 Å).

Most intense lines, 2θ = 10–80°, by intensity:
Position (°2θ)	d (Å)	intensity
29.10	3.068	1000
37.51	2.398	346
38.73	2.325	248
31.30	2.858	239
40.97	2.203	212
38.94	2.313	196
57.64	1.599	154
32.96	2.718	147
56.09	1.640	134
52.44	1.745	112

Cell and atoms:
abc: 4.406 5.912 5.912
angles: 46.32 90.00 90.00
Sites, in units of the cell vectors:
La 0.000 0.000 0.000
La 0.500 0.305 0.305
Tc 0.000 0.781 0.781
Te 0.500 0.600 0.600

(3)
Diffraction record for Ca4SnHg3. The X-ray powder pattern is simulated, not measured: it uses a DFT-relaxed cell (PBE, Alexandria) and Cu Kα (λ = 1.5418 Å).

Most intense lines, 2θ = 10–80°, by intensity:
Position (°2θ)	d (Å)	intensity
33.08	2.708	1000
33.82	2.651	474
23.74	3.748	428
60.03	1.541	360
22.70	3.917	237
41.12	2.195	219
58.60	1.575	190
48.58	1.874	171
69.40	1.354	115
52.73	1.736	109

Cell and atoms:
abc: 3.748 3.748 15.670
angles: 90.00 90.00 90.00
Sites, in units of the cell vectors:
Ca 0.000 0.000 0.124
Ca 0.000 0.000 0.369
Ca 0.000 0.000 0.631
Ca 0.000 0.000 0.876
Sn 0.500 0.500 0.500
Hg 0.500 0.500 0.000
Hg 0.500 0.500 0.246
Hg 0.500 0.500 0.754